Record 1
Calculated XRD peak list
Compound: CeAgS2O9
Radiation: Cu Kα (λ = 1.5418 Å)
Structure: a crystal structure in the Materials Project, relaxed with GGA-PBE
Peak positions follow from Bragg's law for the DFT cell and can differ from measured ones.

Cell and atoms:
```
CeAgS2O9
1.0
6.982 0.000 0.000
-3.491 6.047 0.000
0.000 0.000 13.411
Ce Ag S O
3 3 6 27
Cartesian
-1.394 2.415 2.235 Ce
2.788 0.000 11.176 Ce
2.097 3.632 6.705 Ce
-1.633 2.829 8.941 Ag
3.267 0.000 4.470 Ag
1.858 3.218 0.000 Ag
-1.418 2.752 5.465 S
-0.399 5.899 0.995 S
3.093 0.148 7.946 S
1.817 3.443 9.936 S
2.073 3.294 3.475 S
5.308 2.604 12.416 S
-0.474 0.820 2.235 O
-1.315 3.657 11.430 O
-0.482 2.302 13.280 O
0.947 0.000 11.176 O
-1.296 3.888 4.472 O
-0.163 2.559 6.214 O
-1.193 4.908 1.744 O
-1.256 5.314 8.810 O
0.772 2.980 8.942 O
2.235 0.733 0.131 O
0.981 3.079 2.490 O
2.298 1.138 7.197 O
0.334 5.357 6.960 O
2.195 2.159 4.469 O
0.524 5.225 0.002 O
2.176 2.389 10.921 O
1.356 4.626 10.684 O
3.825 0.690 1.981 O
1.739 4.478 4.339 O
4.015 0.821 8.939 O
3.009 3.745 9.072 O
3.328 3.488 2.727 O
4.847 1.421 11.667 O
4.263 3.066 13.409 O
3.018 5.227 6.705 O
5.230 1.569 4.601 O
4.472 2.967 6.451 O
```

Main lines, sorted by position (10° ≤ 2θ ≤ 90°):
d/Å  two_theta  intensity
6.047  14.65  58.5
5.512  16.08  19.0
4.490  19.77  54.9
3.491  25.52  67.7
3.023  29.55  60.2
2.932  30.49  100.0
2.418  37.18  14.7
2.235  40.35  13.2
2.163  41.76  35.7
1.888  48.19  47.1
1.727  53.01  17.4
1.677  54.73  17.7

Record 2
Calculated XRD peak list
Compound: Ce2AgPb
Radiation: Cu Kα (λ = 1.5418 Å)
Structure: a crystal structure in the Materials Project, relaxed with GGA-PBE
Peak positions follow from Bragg's law for the DFT cell and can differ from measured ones.

Cell and atoms:
```
Ce2AgPb
1.0
7.709 0.000 0.000
0.000 7.709 0.000
0.000 0.000 7.709
Ce Ag Pb
8 4 4
Cartesian
1.927 1.927 1.927 Ce
1.927 1.927 5.782 Ce
1.927 5.782 1.927 Ce
1.927 5.782 5.782 Ce
5.782 1.927 1.927 Ce
5.782 1.927 5.782 Ce
5.782 5.782 1.927 Ce
5.782 5.782 5.782 Ce
0.000 0.000 0.000 Ag
0.000 3.854 3.854 Ag
3.854 0.000 3.854 Ag
3.854 3.854 0.000 Ag
0.000 0.000 3.854 Pb
0.000 3.854 0.000 Pb
3.854 0.000 0.000 Pb
3.854 3.854 3.854 Pb
```

Main lines, sorted by position (10° ≤ 2θ ≤ 90°):
d/Å  two_theta  intensity
4.451  19.95  5.0
2.726  32.86  100.0
2.324  38.74  3.2
1.927  47.16  18.2
1.769  51.69  1.5
1.574  58.67  37.9
1.484  62.61  1.2
1.363  68.90  11.7
1.303  72.54  1.2
1.219  78.47  16.4
1.113  87.71  4.3

Record 3
Calculated XRD peak list
Compound: Ce5AgPb3
Radiation: Cu Kα (λ = 1.5418 Å)
Structure: a crystal structure in the Materials Project, relaxed with GGA-PBE
Peak positions follow from Bragg's law for the DFT cell and can differ from measured ones.

Cell and atoms:
```
Ce5AgPb3
1.0
9.709 0.000 0.000
-4.854 8.408 0.000
0.000 0.000 6.620
Ce Ag Pb
10 2 6
Cartesian
-1.375 2.382 1.655 Ce
-3.479 6.026 4.965 Ce
2.750 0.000 1.655 Ce
1.375 2.382 4.965 Ce
0.000 5.605 0.000 Ce
0.000 5.605 3.310 Ce
4.854 2.803 0.000 Ce
4.854 2.803 3.310 Ce
6.959 0.000 4.965 Ce
3.479 6.026 1.655 Ce
0.000 0.000 0.000 Ag
0.000 0.000 3.310 Ag
-1.805 3.126 4.965 Pb
-3.050 5.282 1.655 Pb
3.610 0.000 4.965 Pb
1.805 3.126 1.655 Pb
6.099 0.000 1.655 Pb
3.050 5.282 4.965 Pb
```

Main lines, sorted by position (10° ≤ 2θ ≤ 90°):
d/Å  two_theta  intensity
3.310  26.94  14.4
2.865  31.22  43.2
2.803  31.93  100.0
2.735  32.75  97.2
2.200  41.04  16.9
2.139  42.25  11.7
1.957  46.39  29.2
1.604  57.44  29.2
1.545  59.86  15.3
1.472  63.15  12.0
1.425  65.50  25.5
1.247  76.39  13.4

Record 4
Calculated XRD peak list
Compound: Ce5AgS8
Radiation: Cu Kα (λ = 1.5418 Å)
Structure: a crystal structure in the Materials Project, relaxed with GGA-PBE
Peak positions follow from Bragg's law for the DFT cell and can differ from measured ones.

Cell and atoms:
```
Ce5AgS8
1.0
-4.257 4.257 4.305
4.257 -4.257 4.305
4.257 4.257 -4.305
Ce Ag S
5 1 8
Cartesian
0.000 0.000 0.000 Ce
2.132 -1.120 3.294 Ce
3.136 2.125 1.012 Ce
2.125 5.377 -1.012 Ce
1.120 2.132 5.317 Ce
0.000 4.257 2.153 Ag
3.663 2.753 -1.750 S
5.804 0.672 0.550 S
0.672 2.710 -0.550 S
0.594 1.503 2.555 S
3.585 1.547 3.755 S
1.503 -0.594 6.056 S
2.753 4.851 1.750 S
-1.547 3.585 4.855 S
```

Main lines, sorted by position (10° ≤ 2θ ≤ 90°):
d/Å  two_theta  intensity
3.502  25.44  52.9
3.482  25.58  94.7
2.720  32.93  46.8
2.694  33.26  100.0
2.292  39.31  32.1
2.280  39.53  57.4
1.921  47.32  21.0
1.908  47.66  20.1
1.823  50.02  28.1
1.670  54.98  20.8
1.382  67.81  25.4
1.159  83.37  17.6

Record 5
Calculated XRD peak list
Compound: Ce3SiAgS7
Radiation: Cu Kα (λ = 1.5418 Å)
Structure: a crystal structure in the Materials Project, relaxed with GGA-PBE
Peak positions follow from Bragg's law for the DFT cell and can differ from measured ones.

Cell and atoms:
```
Ce3SiAgS7
1.0
10.330 0.000 0.000
-5.165 8.946 0.000
0.000 0.000 5.773
Ce Si Ag S
6 2 2 14
Cartesian
-0.574 3.212 0.000 Ce
-2.096 7.836 0.000 Ce
2.495 2.103 2.887 Ce
2.670 6.843 0.000 Ce
7.261 1.109 2.887 Ce
5.738 5.734 2.887 Ce
0.000 5.964 2.384 Si
5.165 2.982 5.271 Si
0.000 0.000 0.350 Ag
0.000 0.000 3.236 Ag
-0.441 2.388 2.970 S
-1.858 5.281 1.551 S
-2.876 8.134 2.970 S
1.847 1.576 0.084 S
0.000 5.964 4.503 S
1.520 4.697 1.551 S
0.337 7.914 1.551 S
4.828 1.031 4.438 S
3.644 4.249 4.438 S
5.165 2.982 1.616 S
3.317 7.370 2.970 S
8.041 0.812 0.084 S
7.023 3.665 4.438 S
5.606 6.558 0.084 S
```

Main lines, sorted by position (10° ≤ 2θ ≤ 90°):
d/Å  two_theta  intensity
4.851  18.29  30.5
3.849  23.11  45.5
3.536  25.19  100.0
3.381  26.36  65.2
2.887  30.98  36.1
2.747  32.59  39.0
2.582  34.74  57.1
2.481  36.20  75.8
2.280  39.53  51.5
2.195  41.12  74.2
1.882  48.37  43.1
1.404  66.62  32.4